Starting from DFT lattice parameters and positions (PBE), the X-ray powder pattern of Mg7Tl2Zn was calculated for Cu Kα (λ = 1.5418 Å).

The 10 most intense peaks (2θ from 10° to 90°), by angle:
index	2θ (°)	Rel. int.
0 0 3	22.48	32
1 0 1	22.60	100
0 1 2	26.12	45
1 0 4	37.19	59
1 1 0	37.34	56
0 1 5	43.90	16
1 1 3	44.05	52
0 2 4	53.73	21
3 0 0	67.29	31
3 0 3	71.95	16

Structural model:
```
data_Mg7Tl2Zn
_chemical_formula_sum 'Mg7 Tl2 Zn1'
_symmetry_space_group_name_H-M 'P 3 m 1'
_symmetry_Int_Tables_number 156
_cell_length_a 4.8161
_cell_length_b 4.8161
_cell_length_c 11.8654
_cell_angle_alpha 90.00
_cell_angle_beta 90.00
_cell_angle_gamma 120.00
loop_
_symmetry_equiv_pos_as_xyz
'x,y,z'
'-y,x-y,z'
'-x+y,-x,z'
'-y,-x,z'
'-x+y,y,z'
'x,x-y,z'
loop_
_atom_site_label
_atom_site_type_symbol
_atom_site_fract_x
_atom_site_fract_y
_atom_site_fract_z
_atom_site_occupancy
Mg1 Mg 0.0000 0.0000 0.0000 1
Mg2 Mg 0.0000 0.0000 0.2465 1
Mg3 Mg 0.0000 0.0000 0.5137 1
Mg4 Mg 0.3333 0.6667 0.1339 1
Mg5 Mg 0.3333 0.6667 0.6760 1
Mg6 Mg 0.6667 0.3333 0.3421 1
Mg7 Mg 0.6667 0.3333 0.8555 1
Tl1 Tl 0.0000 0.0000 0.7577 1
Tl2 Tl 0.3333 0.6667 0.4155 1
Zn1 Zn 0.6667 0.3333 0.0989 1
```